This entry pairs a crystal structure of Cs4NaF5 with its simulated X-ray powder pattern. Radiation: Cu Kα (λ = 1.5418 Å). Structure: a DFT-relaxed cell (GGA-PBE, Alexandria).
Intensities are scaled so that the largest is 100.

Main lines, by angle (10 to 80 degrees two-theta):
2θ/deg	d [Å]	intensity
26.19	3.402	21
26.47	3.367	76
30.58	2.923	100
39.23	2.297	23
43.62	2.075	23
43.97	2.059	41

Structure:
```
data_Cs4NaF5
_cell_length_a 4.1183
_cell_length_b 4.1183
_cell_length_c 51.0298
_cell_angle_alpha 90.00
_cell_angle_beta 90.00
_cell_angle_gamma 120.00
_space_group_name_H-M_alt 'R -3 m'
_space_group_IT_number 166
_space_group_name_Hall '-R 3 2"'
loop_
_atom_site_label
_atom_site_type_symbol
_atom_site_fract_x
_atom_site_fract_y
_atom_site_fract_z
Cs1 Cs 0.0000 0.0000 0.1080
Cs2 Cs 0.0000 0.0000 0.2974
Na1 Na 0.0000 0.0000 0.5000
F1 F 0.0000 0.0000 0.0000
F2 F 0.0000 0.0000 0.1897
F3 F 0.0000 0.0000 0.4055
```

This entry pairs a crystal structure of SmErTm2Th with its simulated X-ray powder pattern. Radiation: Cu Kα (λ = 1.5418 Å). Structure: a DFT-relaxed cell (GGA-PBE, Alexandria).
Intensities are scaled so that the largest is 100.

Main lines, by angle (10 to 80 degrees two-theta):
2θ/deg	d [Å]	intensity
31.80	2.814	100
32.10	2.788	40
32.86	2.726	20
35.15	2.553	26
36.70	2.449	25
62.25	1.491	20

Structure:
```
data_SmErTm2Th
_cell_length_a 3.520
_cell_length_b 5.577
_cell_length_c 8.616
_cell_angle_alpha 90.00
_cell_angle_beta 90.00
_cell_angle_gamma 90.00
_space_group_name_H-M_alt 'P m m m'
_space_group_IT_number 47
_space_group_name_Hall '-P 2 2'
loop_
_atom_site_label
_atom_site_type_symbol
_atom_site_fract_x
_atom_site_fract_y
_atom_site_fract_z
Sm1 Sm 0.000 0.000 0.000
Er1 Er 0.500 0.000 0.500
Tm1 Tm 0.000 0.500 0.322
Th1 Th 0.500 0.500 0.000
```

This entry pairs a crystal structure of Dy5Co3 with its simulated X-ray powder pattern. Radiation: Cu Kα (λ = 1.5418 Å). Structure: a DFT-relaxed cell (GGA-PBE, Alexandria).
Intensities are scaled so that the largest is 100.

Main lines, by angle (10 to 80 degrees two-theta):
2θ/deg	d [Å]	intensity
28.98	3.082	26
34.13	2.627	100
35.87	2.504	65
40.41	2.232	39
57.22	1.610	23
61.55	1.507	21

Structure:
```
data_Dy5Co3
_cell_length_a 7.059
_cell_length_b 7.059
_cell_length_c 14.208
_cell_angle_alpha 90.00
_cell_angle_beta 90.00
_cell_angle_gamma 90.00
_space_group_name_H-M_alt 'P 4/n c c'
_space_group_IT_number 130
loop_
_space_group_symop_operation_xyz
'x,y,z'
'-x,-y,-z'
'-y+1/2,x,z'
'y+1/2,-x,-z'
'-x+1/2,-y+1/2,z'
'x+1/2,y+1/2,-z'
'y,-x+1/2,z'
'-y,x+1/2,-z'
'x+1/2,-y,-z+1/2'
'-x+1/2,y,z+1/2'
'-y,-x,-z+1/2'
'y,x,z+1/2'
'-x,y+1/2,-z+1/2'
'x,-y+1/2,z+1/2'
'y+1/2,x+1/2,-z+1/2'
'-y+1/2,-x+1/2,z+1/2'
loop_
_atom_site_label
_atom_site_type_symbol
_atom_site_fract_x
_atom_site_fract_y
_atom_site_fract_z
Dy1 Dy 0.072 0.572 0.107
Dy2 Dy 0.250 0.250 0.250
Co1 Co 0.137 0.637 0.750
Co2 Co 0.250 0.250 0.000
```

This entry pairs a crystal structure of AcHgP2O8 with its simulated X-ray powder pattern. Radiation: Cu Kα (λ = 1.5418 Å). Structure: a DFT-relaxed cell (GGA-PBE, Alexandria).
Intensities are scaled so that the largest is 100.

Main lines, by angle (10 to 80 degrees two-theta):
2θ/deg	d [Å]	intensity
19.32	4.595	100
30.22	2.958	83
33.79	2.653	41
41.28	2.187	37
45.96	1.975	35
58.24	1.584	26

Structure:
```
data_AcHgP2O8
_cell_length_a 5.3054
_cell_length_b 5.3054
_cell_length_c 7.7306
_cell_angle_alpha 90.00
_cell_angle_beta 90.00
_cell_angle_gamma 120.00
_space_group_name_H-M_alt 'P -3 m 1'
_space_group_IT_number 164
_space_group_name_Hall '-P 3 2"'
loop_
_atom_site_label
_atom_site_type_symbol
_atom_site_fract_x
_atom_site_fract_y
_atom_site_fract_z
Ac1 Ac 0.0000 0.0000 0.0000
Hg1 Hg 0.0000 0.0000 0.5000
P1 P 0.3333 0.6667 0.7842
O1 O 0.1725 0.3450 0.7255
O2 O 0.3333 0.6667 0.9857
```

This entry pairs a crystal structure of Ti6Pd3N with its simulated X-ray powder pattern. Radiation: Cu Kα (λ = 1.5418 Å). Structure: a DFT-relaxed cell (GGA-PBE, Alexandria).
Intensities are scaled so that the largest is 100.

Main lines, by angle (10 to 80 degrees two-theta):
2θ/deg	d [Å]	intensity
16.49	5.374	29
30.15	2.964	32
37.42	2.403	61
37.81	2.379	100
42.12	2.146	37
43.03	2.102	28

Structure:
```
data_Ti6Pd3N
_cell_length_a 5.370
_cell_length_b 7.315
_cell_length_c 9.418
_cell_angle_alpha 90.00
_cell_angle_beta 122.74
_cell_angle_gamma 90.00
_space_group_name_H-M_alt 'P 1 21/c 1'
_space_group_IT_number 14
_space_group_name_Hall '-P 2ybc'
loop_
_atom_site_label
_atom_site_type_symbol
_atom_site_fract_x
_atom_site_fract_y
_atom_site_fract_z
Ti1 Ti 0.055 0.094 0.222
Ti2 Ti 0.273 0.726 0.608
Ti3 Ti 0.363 0.142 0.030
Pd1 Pd 0.235 0.076 0.673
Pd2 Pd 0.500 0.000 0.500
N1 N 0.000 0.000 0.000
```

This entry pairs a crystal structure of LiPrSBr with its simulated X-ray powder pattern. Radiation: Cu Kα (λ = 1.5418 Å). Structure: a DFT-relaxed cell (GGA-PBE, Alexandria).
Intensities are scaled so that the largest is 100.

Main lines, by angle (10 to 80 degrees two-theta):
2θ/deg	d [Å]	intensity
12.21	7.246	82
25.60	3.480	34
29.35	3.043	100
37.23	2.415	25
38.81	2.320	32
44.97	2.016	36

Structure:
```
data_LiPrSBr
_cell_length_a 4.0312
_cell_length_b 4.0312
_cell_length_c 43.4785
_cell_angle_alpha 90.00
_cell_angle_beta 90.00
_cell_angle_gamma 120.00
_space_group_name_H-M_alt 'R -3 m'
_space_group_IT_number 166
_space_group_name_Hall '-R 3 2"'
loop_
_atom_site_label
_atom_site_type_symbol
_atom_site_fract_x
_atom_site_fract_y
_atom_site_fract_z
Li1 Li 0.0000 0.0000 0.1868
Pr1 Pr 0.0000 0.0000 0.4213
S1 S 0.0000 0.0000 0.1291
Br1 Br 0.0000 0.0000 0.2896
```

This entry pairs a crystal structure of NaMn2SnSe4 with its simulated X-ray powder pattern. Radiation: Cu Kα (λ = 1.5418 Å). Structure: a DFT-relaxed cell (GGA-PBE, Alexandria).
Intensities are scaled so that the largest is 100.

Main lines, by angle (10 to 80 degrees two-theta):
2θ/deg	d [Å]	intensity
23.13	3.845	52
23.61	3.768	100
25.48	3.496	90
26.88	3.317	60
40.93	2.205	81
45.78	1.982	74

Structure:
```
data_NaMn2SnSe4
_cell_length_a 8.646
_cell_length_b 7.690
_cell_length_c 6.992
_cell_angle_alpha 90.00
_cell_angle_beta 90.00
_cell_angle_gamma 90.00
_space_group_name_H-M_alt 'P m n 21'
_space_group_IT_number 31
_space_group_name_Hall 'P 2ac -2'
loop_
_atom_site_label
_atom_site_type_symbol
_atom_site_fract_x
_atom_site_fract_y
_atom_site_fract_z
Na1 Na 0.000 0.155 0.000
Mn1 Mn 0.247 0.343 0.501
Sn1 Sn 0.000 0.825 0.500
Se1 Se 0.000 0.182 0.414
Se2 Se 0.000 0.792 0.889
Se3 Se 0.244 0.644 0.363
```

This entry pairs a crystal structure of CuHg4F10 with its simulated X-ray powder pattern. Radiation: Cu Kα (λ = 1.5418 Å). Structure: a DFT-relaxed cell (GGA-PBE, Alexandria).
Intensities are scaled so that the largest is 100.

Main lines, by angle (10 to 80 degrees two-theta):
2θ/deg	d [Å]	intensity
26.80	3.326	100
30.44	2.937	22
32.15	2.784	36
43.65	2.074	41
48.48	1.878	25
54.14	1.694	27

Structure:
```
data_CuHg4F10
_cell_length_a 4.1474
_cell_length_b 4.1474
_cell_length_c 44.0533
_cell_angle_alpha 90.00
_cell_angle_beta 90.00
_cell_angle_gamma 120.00
_space_group_name_H-M_alt 'R -3 m'
_space_group_IT_number 166
_space_group_name_Hall '-R 3 2"'
loop_
_atom_site_label
_atom_site_type_symbol
_atom_site_fract_x
_atom_site_fract_y
_atom_site_fract_z
Cu1 Cu 0.0000 0.0000 0.0000
Hg1 Hg 0.0000 0.0000 0.2015
Hg2 Hg 0.0000 0.0000 0.3957
F1 F 0.0000 0.0000 0.0425
F2 F 0.0000 0.0000 0.1495
F3 F 0.0000 0.0000 0.2531
F4 F 0.0000 0.0000 0.3458
F5 F 0.0000 0.0000 0.4472
```

This entry pairs a crystal structure of UPaGaTc with its simulated X-ray powder pattern. Radiation: Cu Kα (λ = 1.5418 Å). Structure: a DFT-relaxed cell (GGA-PBE, Alexandria).
Intensities are scaled so that the largest is 100.

Main lines, by angle (10 to 80 degrees two-theta):
2θ/deg	d [Å]	intensity
22.81	3.898	23
37.68	2.387	100
44.50	2.036	13
54.35	1.688	18
59.69	1.549	6
68.02	1.378	36

Structure:
```
data_UPaGaTc
_cell_length_a 6.752
_cell_length_b 6.752
_cell_length_c 6.752
_cell_angle_alpha 90.00
_cell_angle_beta 90.00
_cell_angle_gamma 90.00
_space_group_name_H-M_alt 'F -4 3 m'
_space_group_IT_number 216
_space_group_name_Hall 'F -4 2 3'
loop_
_atom_site_label
_atom_site_type_symbol
_atom_site_fract_x
_atom_site_fract_y
_atom_site_fract_z
U1 U 0.000 0.000 0.000
Pa1 Pa 0.250 0.250 0.750
Ga1 Ga 0.250 0.250 0.250
Tc1 Tc 0.000 0.000 0.500
```

This entry pairs a crystal structure of LaNdGaI with its simulated X-ray powder pattern. Radiation: Cu Kα (λ = 1.5418 Å). Structure: a DFT-relaxed cell (GGA-PBE, Alexandria).
Intensities are scaled so that the largest is 100.

Main lines, by angle (10 to 80 degrees two-theta):
2θ/deg	d [Å]	intensity
27.06	3.295	30
30.14	2.965	100
31.48	2.842	44
33.88	2.646	44
38.89	2.316	30
45.61	1.989	32

Structure:
```
data_LaNdGaI
_cell_length_a 6.622
_cell_length_b 4.632
_cell_length_c 8.472
_cell_angle_alpha 90.00
_cell_angle_beta 101.30
_cell_angle_gamma 90.00
_space_group_name_H-M_alt 'C 1 m 1'
_space_group_IT_number 8
_space_group_name_Hall 'C -2y'
loop_
_atom_site_label
_atom_site_type_symbol
_atom_site_fract_x
_atom_site_fract_y
_atom_site_fract_z
La1 La 0.000 0.000 0.000
Nd1 Nd 0.355 0.500 0.428
Ga1 Ga 0.428 0.000 0.216
I1 I 0.066 0.500 0.710
```

This entry pairs a crystal structure of Tm2Be2SiRh5 with its simulated X-ray powder pattern. Radiation: Cu Kα (λ = 1.5418 Å). Structure: a DFT-relaxed cell (GGA-PBE, Alexandria).
Intensities are scaled so that the largest is 100.

Main lines, by angle (10 to 80 degrees two-theta):
2θ/deg	d [Å]	intensity
35.59	2.522	90
38.76	2.323	100
39.94	2.258	38
41.55	2.173	88
44.81	2.023	28
73.05	1.295	31

Structure:
```
data_Tm2Be2SiRh5
_cell_length_a 9.578
_cell_length_b 9.578
_cell_length_c 3.121
_cell_angle_alpha 90.00
_cell_angle_beta 90.00
_cell_angle_gamma 90.00
_space_group_name_H-M_alt 'P 4/m b m'
_space_group_IT_number 127
_space_group_name_Hall '-P 4 2ab'
loop_
_atom_site_label
_atom_site_type_symbol
_atom_site_fract_x
_atom_site_fract_y
_atom_site_fract_z
Tm1 Tm 0.175 0.325 0.000
Be1 Be 0.123 0.623 0.000
Si1 Si 0.000 0.000 0.000
Rh1 Rh 0.000 0.500 0.500
Rh2 Rh 0.066 0.795 0.500
```

This entry pairs a crystal structure of Nd4CoCl5 with its simulated X-ray powder pattern. Radiation: Cu Kα (λ = 1.5418 Å). Structure: a DFT-relaxed cell (GGA-PBE, Alexandria).
Intensities are scaled so that the largest is 100.

Main lines, by angle (10 to 80 degrees two-theta):
2θ/deg	d [Å]	intensity
10.95	8.081	94
26.93	3.311	24
29.93	2.985	56
30.97	2.888	100
42.78	2.114	33
44.43	2.039	36

Structure:
```
data_Nd4CoCl5
_cell_length_a 18.636
_cell_length_b 3.978
_cell_length_c 8.408
_cell_angle_alpha 90.00
_cell_angle_beta 106.02
_cell_angle_gamma 90.00
_space_group_name_H-M_alt 'C 1 2/m 1'
_space_group_IT_number 12
_space_group_name_Hall '-C 2y'
loop_
_atom_site_label
_atom_site_type_symbol
_atom_site_fract_x
_atom_site_fract_y
_atom_site_fract_z
Nd1 Nd 0.002 0.000 0.282
Nd2 Nd 0.153 0.500 0.607
Co1 Co 0.000 0.500 0.500
Cl1 Cl 0.000 0.500 0.000
Cl2 Cl 0.165 0.000 0.852
Cl3 Cl 0.173 0.000 0.370
```